Record 1
The following is a calculated powder X-ray diffraction pattern of TmBe2Cu9. It was derived from DFT lattice parameters and positions (PBE), using Cu Kα.
Intensities are scaled so that the largest is 100.

Main lines, by angle (10° ≤ 2θ ≤ 90°):
2θ (°), I_rel
25.6, 25
30.8, 28
40.8, 100
41.1, 72
48.5, 24
74.7, 26

Structure:
```
TmBe2Cu9
1.0
-4.914 4.914 3.144
4.914 -4.914 3.144
4.914 4.914 -3.144
Tm Be Cu
2 4 18
direct
0.375 0.625 0.750
0.625 0.375 0.250
0.000 0.000 0.000
0.000 0.000 0.500
0.000 0.500 0.000
0.500 0.000 0.500
0.125 0.875 0.250
0.140 0.566 0.329
0.140 0.811 0.574
0.189 0.263 0.329
0.189 0.860 0.926
0.263 0.189 0.829
0.263 0.434 0.074
0.434 0.263 0.574
0.434 0.860 0.171
0.566 0.140 0.829
0.566 0.737 0.426
0.737 0.566 0.926
0.737 0.811 0.171
0.811 0.140 0.074
0.811 0.737 0.671
0.860 0.189 0.426
0.860 0.434 0.671
0.875 0.125 0.750
```

Record 2
The following is a calculated powder X-ray diffraction pattern of Pm3US4. It was derived from DFT lattice parameters and positions (PBE), using Cu Kα.
Intensities are scaled so that the largest is 100.

Main lines, by angle (10° ≤ 2θ ≤ 90°):
2θ (°), I_rel
27.2, 43
27.5, 42
31.7, 100
45.4, 49
53.6, 14
75.2, 22

Structure:
```
Pm3US4
1.0
4.022 -5.650 0.000
4.022 5.650 0.000
0.000 0.000 3.967
Pm U S
3 1 4
direct
0.000 0.000 0.000
0.000 0.500 0.500
0.500 0.000 0.500
0.500 0.500 0.000
0.254 0.746 0.000
0.258 0.258 0.500
0.742 0.742 0.500
0.746 0.254 0.000
```

Record 3
The following is a calculated powder X-ray diffraction pattern of Pr2Dy2Hg7. It was derived from DFT lattice parameters and positions (PBE), using Cu Kα.
Intensities are scaled so that the largest is 100.

Main lines, by angle (10° ≤ 2θ ≤ 90°):
2θ (°), I_rel
22.9, 43
24.0, 56
31.4, 32
32.4, 65
36.0, 38
37.9, 100

Structure:
```
Pr2Dy2Hg7
1.0
4.990 -5.533 0.000
4.990 5.533 0.000
0.000 0.000 6.172
Pr Dy Hg
2 2 7
direct
0.188 0.188 0.000
0.812 0.812 0.000
0.272 0.728 0.500
0.728 0.272 0.500
0.000 0.000 0.500
0.000 0.500 0.240
0.000 0.500 0.760
0.500 0.000 0.240
0.500 0.000 0.760
0.500 0.500 0.233
0.500 0.500 0.767
```

Record 4
The following is a calculated powder X-ray diffraction pattern of Ba3Sb4Pd2Rh2. It was derived from DFT lattice parameters and positions (PBE), using Cu Kα.
Intensities are scaled so that the largest is 100.

Main lines, by angle (10° ≤ 2θ ≤ 90°):
2θ (°), I_rel
27.1, 87
30.3, 86
35.2, 40
39.6, 100
54.0, 69
82.6, 20

Structure:
```
Ba3Sb4Pd2Rh2
1.0
4.551 0.000 0.000
-2.276 3.942 0.000
0.000 0.000 17.830
Ba Sb Pd Rh
3 4 2 2
direct
0.000 0.000 0.000
0.000 0.000 0.279
0.000 0.000 0.721
0.333 0.667 0.415
0.333 0.667 0.859
0.667 0.333 0.141
0.667 0.333 0.585
0.333 0.667 0.141
0.667 0.333 0.859
0.333 0.667 0.558
0.667 0.333 0.442
```

Record 5
The following is a calculated powder X-ray diffraction pattern of LiTeBr4. It was derived from DFT lattice parameters and positions (PBE), using Cu Kα.
Intensities are scaled so that the largest is 100.

Main lines, by angle (10° ≤ 2θ ≤ 90°):
2θ (°), I_rel
17.3, 77
26.8, 27
27.0, 28
31.1, 100
31.3, 49
44.7, 70

Structure:
```
LiTeBr4
1.0
5.722 -4.091 0.000
5.722 4.091 0.000
-0.009 0.000 8.068
Li Te Br
2 2 8
direct
0.000 0.000 0.250
0.000 0.000 0.750
0.000 0.500 0.000
0.500 0.000 0.500
0.221 0.755 0.000
0.245 0.779 0.500
0.248 0.248 0.250
0.248 0.248 0.750
0.752 0.752 0.250
0.752 0.752 0.750
0.755 0.221 0.500
0.779 0.245 0.000
```

Record 6
The following is a calculated powder X-ray diffraction pattern of Cs5BiH2. It was derived from DFT lattice parameters and positions (PBE), using Cu Kα.
Intensities are scaled so that the largest is 100.

Main lines, by angle (10° ≤ 2θ ≤ 90°):
2θ (°), I_rel
12.2, 18
22.5, 41
25.4, 69
27.0, 24
27.1, 100
38.6, 19

Structure:
```
Cs5BiH2
1.0
3.291 -7.282 0.000
3.291 7.282 0.000
0.000 0.000 15.760
Cs Bi H
10 2 4
direct
0.041 0.959 0.622
0.041 0.959 0.878
0.214 0.786 0.250
0.348 0.652 0.539
0.348 0.652 0.961
0.652 0.348 0.039
0.652 0.348 0.461
0.786 0.214 0.750
0.959 0.041 0.122
0.959 0.041 0.378
0.496 0.504 0.250
0.504 0.496 0.750
0.155 0.845 0.044
0.155 0.845 0.456
0.845 0.155 0.544
0.845 0.155 0.956
```

Record 7
The following is a calculated powder X-ray diffraction pattern of HfTi4Te8. It was derived from DFT lattice parameters and positions (PBE), using Cu Kα.
Intensities are scaled so that the largest is 100.

Main lines, by angle (10° ≤ 2θ ≤ 90°):
2θ (°), I_rel
27.9, 30
32.0, 100
44.9, 38
46.7, 36
57.7, 18
74.7, 17

Structure:
```
HfTi4Te8
1.0
3.888 2.245 6.721
-3.888 2.245 6.721
0.000 -4.490 6.721
Hf Ti Te
1 4 8
direct
0.000 0.000 0.000
0.000 0.000 0.500
0.000 0.500 0.000
0.500 0.000 0.000
0.500 0.500 0.500
0.249 0.249 0.249
0.254 0.254 0.740
0.254 0.740 0.254
0.260 0.746 0.746
0.740 0.254 0.254
0.746 0.260 0.746
0.746 0.746 0.260
0.751 0.751 0.751
```

Record 8
The following is a calculated powder X-ray diffraction pattern of Mg2Tl2Pb3. It was derived from DFT lattice parameters and positions (PBE), using Cu Kα.
Intensities are scaled so that the largest is 100.

Main lines, by angle (10° ≤ 2θ ≤ 90°):
2θ (°), I_rel
25.6, 34
30.5, 41
31.9, 100
33.8, 47
36.6, 66
63.0, 30

Structure:
```
Mg2Tl2Pb3
1.0
1.745 -16.447 0.000
1.745 16.447 0.000
0.000 0.000 3.474
Mg Tl Pb
2 2 3
direct
0.144 0.856 0.000
0.856 0.144 0.000
0.293 0.707 0.500
0.707 0.293 0.500
0.000 0.000 0.000
0.422 0.578 0.500
0.578 0.422 0.500
```

Record 9
The following is a calculated powder X-ray diffraction pattern of Na2Re3Se6. It was derived from DFT lattice parameters and positions (PBE), using Cu Kα.
Intensities are scaled so that the largest is 100.

Main lines, by angle (10° ≤ 2θ ≤ 90°):
2θ (°), I_rel
10.6, 97
12.4, 89
12.7, 100
37.9, 18
42.2, 24
47.9, 21

Structure:
```
Na2Re3Se6
1.0
8.383 -5.051 0.000
8.383 5.051 0.000
-0.537 0.000 12.148
Na Re Se
8 12 24
direct
0.074 0.926 0.750
0.160 0.604 0.000
0.282 0.718 0.250
0.396 0.840 0.500
0.604 0.160 0.500
0.718 0.282 0.750
0.840 0.396 0.000
0.926 0.074 0.250
0.021 0.388 0.628
0.097 0.313 0.417
0.192 0.490 0.532
0.313 0.097 0.917
0.388 0.021 0.128
0.490 0.192 0.032
0.510 0.808 0.968
0.612 0.979 0.872
0.687 0.903 0.083
0.808 0.510 0.468
0.903 0.687 0.583
0.979 0.612 0.372
0.042 0.232 0.808
0.076 0.777 0.486
0.112 0.564 0.732
0.202 0.295 0.073
0.223 0.924 0.014
0.232 0.042 0.308
0.257 0.420 0.331
0.295 0.202 0.573
0.420 0.257 0.831
0.436 0.888 0.768
0.450 0.488 0.588
0.488 0.450 0.088
0.512 0.550 0.912
0.550 0.512 0.412
0.564 0.112 0.232
0.580 0.743 0.169
0.705 0.798 0.427
0.743 0.580 0.669
0.768 0.958 0.692
0.777 0.076 0.986
0.798 0.705 0.927
0.888 0.436 0.268
0.924 0.223 0.514
0.958 0.768 0.192
```

Record 10
The following is a calculated powder X-ray diffraction pattern of Nd7Y12Pu. It was derived from DFT lattice parameters and positions (PBE), using Cu Kα.
Intensities are scaled so that the largest is 100.

Main lines, by angle (10° ≤ 2θ ≤ 90°):
2θ (°), I_rel
30.5, 38
30.7, 100
32.1, 78
32.4, 73
33.5, 36
38.6, 32

Structure:
```
Nd7Y12Pu
1.0
6.170 3.562 5.152
-6.170 3.562 5.152
0.000 -7.124 5.152
Nd Y Pu
7 12 1
direct
0.000 0.000 0.000
0.157 0.602 0.496
0.398 0.504 0.843
0.496 0.157 0.602
0.504 0.843 0.398
0.602 0.496 0.157
0.843 0.398 0.504
0.052 0.380 0.154
0.127 0.263 0.722
0.154 0.052 0.380
0.263 0.722 0.127
0.278 0.873 0.737
0.380 0.154 0.052
0.620 0.846 0.948
0.722 0.127 0.263
0.737 0.278 0.873
0.846 0.948 0.620
0.873 0.737 0.278
0.948 0.620 0.846
0.500 0.500 0.500
```

Record 11
The following is a calculated powder X-ray diffraction pattern of Cd2IrPtO6. It was derived from DFT lattice parameters and positions (PBE), using Cu Kα.
Intensities are scaled so that the largest is 100.

Main lines, by angle (10° ≤ 2θ ≤ 90°):
2θ (°), I_rel
20.3, 14
30.6, 100
32.3, 46
46.3, 25
53.3, 20
56.5, 36

Structure:
```
Cd2IrPtO6
1.0
5.546 0.000 0.000
0.000 5.546 0.000
0.000 0.000 4.380
Cd Ir Pt O
2 1 1 6
direct
0.000 0.500 0.000
0.500 0.000 0.000
0.000 0.000 0.574
0.500 0.500 0.601
0.000 0.000 0.151
0.242 0.242 0.693
0.242 0.758 0.693
0.500 0.500 0.129
0.758 0.242 0.693
0.758 0.758 0.693
```

Record 12
The following is a calculated powder X-ray diffraction pattern of NaCdB2H8. It was derived from DFT lattice parameters and positions (PBE), using Cu Kα.
Intensities are scaled so that the largest is 100.

Main lines, by angle (10° ≤ 2θ ≤ 90°):
2θ (°), I_rel
13.9, 89
22.3, 53
22.5, 100
28.5, 50
29.7, 94
30.3, 36

Structure:
```
NaCdB2H8
1.0
3.674 -2.539 0.000
3.674 2.539 0.000
-3.426 0.000 6.370
Na Cd B H
1 1 2 8
direct
0.000 0.000 0.000
0.500 0.500 0.500
0.208 0.208 0.764
0.792 0.792 0.236
0.022 0.022 0.702
0.058 0.447 0.687
0.310 0.310 0.956
0.447 0.058 0.687
0.553 0.942 0.313
0.690 0.690 0.044
0.942 0.553 0.313
0.978 0.978 0.298
```